Entry 1:
# PrGdCBr
Computed powder diffractogram, Cu Kα (weighted mean of Kα1 and Kα2). Input: the GGA-PBE geometry in OQMD.
Neutral-atom scattering factors, no anomalous dispersion.

Structure:
a = 3.7723 Å, b = 3.7723 Å, c = 14.7421 Å
α = 90.00°, β = 90.00°, γ = 120.00°
Space group P-3m1 (No. 164)
Inequivalent atoms, fractional coordinates:
Pr (0.3333, 0.6667, 0.4052)
Gd (0.3333, 0.6667, 0.0880)
C (0.0000, 0.0000, 0.0000)
C (0.0000, 0.0000, 0.5000)
Br (0.3333, 0.6667, 0.7619)

Largest 8 diffraction maxima, most intense first, 2θ = 5–70°:
d/Å, 2theta, Rel. int.
2.721, 32.9, 100
3.267, 27.3, 25
1.886, 48.2, 25
1.496, 62.0, 19
1.550, 59.6, 18
2.457, 36.6, 14
1.964, 46.2, 13
1.464, 63.5, 11

---

Entry 2:
# SmGdC2Br2
Computed powder diffractogram, Cu Kα (weighted mean of Kα1 and Kα2). Input: the GGA-PBE geometry in OQMD.
Neutral-atom scattering factors, no anomalous dispersion.

Structure:
a = 7.174 Å, b = 3.862 Å, c = 10.982 Å
α = 90.00°, β = 99.24°, γ = 90.00°
Space group Cm (No. 8)
Inequivalent atoms, fractional coordinates:
Sm (0.000, 0.000, 0.000)
Gd (0.190, 0.000, 0.729)
C (0.008, 0.500, 0.828)
C (0.181, 0.500, 0.894)
Br (0.304, 0.500, 0.556)
Br (0.385, 0.000, 0.178)

Largest 8 diffraction maxima, most intense first, 2θ = 5–70°:
d/Å, 2theta, Rel. int.
10.839, 8.2, 100
2.573, 34.9, 47
3.216, 27.7, 45
2.979, 30.0, 36
2.764, 32.4, 32
2.042, 44.4, 27
2.031, 44.6, 23
2.780, 32.2, 22